# 1
RbV2AsO6: calculated powder diffraction line list (Cu Kα (λ = 1.5418 Å)), based on a crystal structure in Alexandria, relaxed with PBE+U.
Intensities are scaled so that the largest is 100.

Crystal structure
```
RbV2AsO6
1.0
5.3864 -5.4225 0.0000
5.3864 5.4225 0.0000
-1.6096 0.0000 5.8857
Rb V As O
2 4 2 12
Direct
0.1393 0.8607 0.7500 Rb
0.8607 0.1393 0.2500 Rb
0.1471 0.3311 0.7965 V
0.3311 0.1471 0.2965 V
0.6689 0.8529 0.7035 V
0.8529 0.6689 0.2035 V
0.3234 0.6766 0.2500 As
0.6766 0.3234 0.7500 As
0.1019 0.6679 0.3094 O
0.1905 0.2139 0.0503 O
0.2139 0.1905 0.5503 O
0.2292 0.5472 0.9040 O
0.3321 0.8981 0.1906 O
0.4528 0.7708 0.5960 O
0.5472 0.2292 0.4040 O
0.6679 0.1019 0.8094 O
0.7708 0.4528 0.0960 O
0.7861 0.8095 0.4497 O
0.8095 0.7861 0.9497 O
0.8981 0.3321 0.6906 O
```

Top 6 peaks for 10° ≤ 2θ ≤ 90°, low angle first:
3.752 Å, 2θ 23.7, intensity 36.2; 3.478 Å, 2θ 25.6, intensity 100.0; 2.942 Å, 2θ 30.4, intensity 30.9; 2.921 Å, 2θ 30.6, intensity 40.8; 2.598 Å, 2θ 34.5, intensity 15.3; 1.894 Å, 2θ 48.0, intensity 23.5

---

# 2
RbAsW2O8: calculated powder diffraction line list (Cu Kα (λ = 1.5418 Å)), based on a crystal structure in Alexandria, relaxed with PBE+U.
Intensities are scaled so that the largest is 100.

Crystal structure
```
RbAsW2O8
1.0
2.8072 1.6207 9.2330
-2.8072 1.6207 9.2330
0.0000 -3.2415 9.2330
Rb As W O
1 1 2 8
Direct
0.0000 0.0000 0.0000 Rb
0.5000 0.5000 0.5000 As
0.2362 0.2362 0.2362 W
0.7638 0.7638 0.7638 W
0.1270 0.5289 0.6984 O
0.3007 0.3007 0.3007 O
0.3016 0.4711 0.8730 O
0.4711 0.8730 0.3016 O
0.5289 0.6984 0.1270 O
0.6984 0.1270 0.5289 O
0.6993 0.6993 0.6993 O
0.8730 0.3016 0.4711 O
```

Top 6 peaks for 10° ≤ 2θ ≤ 90°, low angle first:
4.588 Å, 2θ 19.3, intensity 22.5; 3.979 Å, 2θ 22.3, intensity 100.0; 2.820 Å, 2θ 31.7, intensity 21.5; 2.807 Å, 2θ 31.9, intensity 38.1; 1.776 Å, 2θ 51.4, intensity 20.1; 1.622 Å, 2θ 56.8, intensity 18.5